The following is a calculated powder diffraction line list of CdAgTeO. It was derived from a DFT-relaxed cell (GGA-PBE, OQMD), using Cu Ka.
No peak broadening, texture or thermal motion is included.

The 10 most intense peaks (2θ = 15–90°), sorted by position:
two_theta, Rel. int.
21.65, 86
23.87, 46
28.34, 63
32.08, 66
33.13, 65
36.14, 59
36.55, 62
38.47, 100
38.56, 49
44.07, 48

Structure:
Cell lengths 6.5876, 14.9140, 7.3873 Å; angles 90.00, 90.00, 90.00 degrees
Space group Pbca (No. 61)
Inequivalent atoms, fractional coordinates:
Cd (0.0419, 0.2459, 0.1297) x8
Ag (0.2402, 0.0709, 0.9271) x8
Te (0.0015, 0.5519, 0.2406) x8
O (0.2155, 0.2230, 0.8774) x8

***

The following is a calculated powder diffraction line list of NdLuSi4Ni2. It was derived from a DFT-relaxed cell (GGA-PBE, OQMD), using Cu Ka.
No peak broadening, texture or thermal motion is included.

The 10 most intense peaks (2θ = 15–90°), sorted by position:
two_theta, Rel. int.
21.64, 33
24.79, 31
31.25, 29
32.00, 77
35.23, 76
35.63, 100
39.93, 35
44.94, 32
45.43, 31
58.76, 34

Structure:
Cell lengths 3.9928, 4.0343, 16.4259 Å; angles 90.00, 90.00, 90.00 degrees
Space group Amm2 (No. 38)
Inequivalent atoms, fractional coordinates:
Nd (0.0000, 0.0000, 0.0000) x2
Lu (0.5000, 0.0000, 0.2115) x2
Si (0.0000, 0.0000, 0.3525) x2
Si (0.0000, 0.0000, 0.6466) x2
Si (0.5000, 0.0000, 0.5669) x2
Si (0.5000, 0.0000, 0.8527) x2
Ni (0.0000, 0.0000, 0.7823) x2
Ni (0.5000, 0.0000, 0.4251) x2

***

The following is a calculated powder diffraction line list of RbLuSeO. It was derived from a DFT-relaxed cell (GGA-PBE, OQMD), using Cu Ka.
No peak broadening, texture or thermal motion is included.

The 10 most intense peaks (2θ = 15–90°), sorted by position:
two_theta, Rel. int.
24.80, 68
29.08, 74
29.20, 65
32.27, 100
34.65, 39
34.80, 57
34.95, 25
44.90, 59
54.36, 23
54.49, 25

Structure:
Cell lengths 5.7099, 5.7096, 12.0941 Å; angles 90.00, 103.34, 90.00 degrees
Space group C2 (No. 5)
Inequivalent atoms, fractional coordinates:
Rb (0.1827, 0.0000, 0.3875) x4
Lu (0.2108, 0.2435, 0.9184) x4
Se (0.1193, 0.5003, 0.2609) x4
O (0.0000, 0.4923, 0.0000) x2
O (0.0000, 0.9930, 0.0000) x2

***

The following is a calculated powder diffraction line list of Tl2ReSn2. It was derived from a DFT-relaxed cell (GGA-PBE, OQMD), using Cu Ka.
No peak broadening, texture or thermal motion is included.

The 10 most intense peaks (2θ = 15–90°), sorted by position:
two_theta, Rel. int.
15.72, 100
18.76, 55
24.93, 42
25.44, 37
29.10, 57
31.08, 83
31.74, 80
40.25, 67
42.50, 36
49.91, 36

Structure:
Cell lengths 7.0218, 12.6313, 14.2851 Å; angles 90.00, 90.00, 90.00 degrees
Space group Fddd (No. 70, origin choice 2)
Inequivalent atoms, fractional coordinates:
Tl (0.0000, 0.0000, 0.0000) x16
Re (0.1250, 0.1250, 0.1250) x8
Sn (0.1250, 0.1250, 0.5209) x16

***

The following is a calculated powder diffraction line list of CsAgBrCl2. It was derived from a DFT-relaxed cell (GGA-PBE, OQMD), using Cu Ka.
No peak broadening, texture or thermal motion is included.

The 10 most intense peaks (2θ = 15–90°), sorted by position:
two_theta, Rel. int.
23.41, 90
24.11, 100
29.07, 57
32.31, 57
34.36, 99
40.72, 48
42.00, 37
47.88, 71
49.38, 33
60.25, 34

Structure:
Cell lengths 7.3822, 7.3822, 11.0828 Å; angles 90.00, 90.00, 90.00 degrees
Space group I4/mmm (No. 139)
Inequivalent atoms, fractional coordinates:
Cs (0.0000, 0.5000, 0.2500) x4
Ag (0.0000, 0.0000, 0.0000) x2
Ag (0.0000, 0.0000, 0.5000) x2
Br (0.0000, 0.0000, 0.2320) x4
Cl (0.2395, 0.2395, 0.5000) x8

***

The following is a calculated powder diffraction line list of Ba6Cu11F34. It was derived from a DFT-relaxed cell (GGA-PBE, OQMD), using Cu Ka.
No peak broadening, texture or thermal motion is included.

The 10 most intense peaks (2θ = 15–90°), sorted by position:
two_theta, Rel. int.
25.52, 35
26.70, 42
27.79, 100
28.31, 28
29.05, 33
30.38, 46
30.92, 28
31.90, 66
42.59, 37
43.32, 49

Structure:
Cell lengths 7.3394, 9.8353, 9.9332 Å; angles 81.96, 72.38, 71.05 degrees
Space group P-1 (No. 2)
Inequivalent atoms, fractional coordinates:
Ba (0.1458, 0.4078, 0.2762) x2
Ba (0.1878, 0.1496, 0.9710) x2
Ba (0.2947, 0.8629, 0.6473) x2
Cu (0.1957, 0.7550, 0.2836) x2
Cu (0.2213, 0.2433, 0.6144) x2
Cu (0.2999, 0.4927, 0.8161) x2
Cu (0.3096, 0.0140, 0.2933) x2
Cu (0.3927, 0.7532, 0.9796) x2
Cu (0.5000, 0.5000, 0.5000) x1
F (0.0137, 0.6327, 0.4415) x2
F (0.0445, 0.6157, 0.9075) x2
F (0.0497, 0.1159, 0.7524) x2
F (0.0686, 0.1520, 0.2617) x2
F (0.1628, 0.8892, 0.9264) x2
F (0.1661, 0.3658, 0.7704) x2
F (0.1758, 0.8803, 0.4206) x2
F (0.2230, 0.6483, 0.1261) x2
F (0.2501, 0.6072, 0.6204) x2
F (0.2985, 0.1124, 0.4630) x2
F (0.3551, 0.3608, 0.9870) x2
F (0.3777, 0.9065, 0.1101) x2
F (0.3853, 0.3598, 0.4713) x2
F (0.4340, 0.1082, 0.6843) x2
F (0.4430, 0.6277, 0.8212) x2
F (0.4456, 0.1461, 0.1750) x2
F (0.4463, 0.6273, 0.2960) x2

***

The following is a calculated powder diffraction line list of Er3Si3Pt2. It was derived from a DFT-relaxed cell (GGA-PBE, OQMD), using Cu Ka.
No peak broadening, texture or thermal motion is included.

The 10 most intense peaks (2θ = 15–90°), sorted by position:
two_theta, Rel. int.
22.60, 16
25.34, 18
29.65, 21
34.21, 100
38.42, 16
38.84, 24
40.06, 22
42.43, 29
42.54, 27
57.43, 16

Structure:
Cell lengths 4.2601, 10.2651, 14.0587 Å; angles 90.00, 90.00, 90.00 degrees
Space group Cmcm (No. 63)
Inequivalent atoms, fractional coordinates:
Er (0.0000, 0.0901, 0.1114) x8
Er (0.0000, 0.3692, 0.2500) x4
Si (0.0000, 0.3364, 0.7500) x4
Si (0.0000, 0.3876, 0.0349) x8
Pt (0.0000, 0.1961, 0.6013) x8

***

The following is a calculated powder diffraction line list of KLaPtSe4. It was derived from a DFT-relaxed cell (GGA-PBE, OQMD), using Cu Ka.
No peak broadening, texture or thermal motion is included.

The 10 most intense peaks (2θ = 15–90°), sorted by position:
two_theta, Rel. int.
16.48, 100
26.66, 53
28.41, 40
30.48, 46
31.43, 74
32.13, 61
37.27, 60
40.07, 72
46.43, 34
56.46, 33

Structure:
Cell lengths 6.4871, 6.6868, 9.5808 Å; angles 90.00, 109.10, 90.00 degrees
Space group P2_1 (No. 4)
Inequivalent atoms, fractional coordinates:
K (0.1788, 0.0000, 0.4328) x2
La (0.3213, 0.4911, 0.0468) x2
Pt (0.0798, 0.9970, 0.8074) x2
Se (0.2210, 0.9951, 0.0780) x2
Se (0.2696, 0.5018, 0.3735) x2
Se (0.3148, 0.7297, 0.7689) x2
Se (0.3225, 0.2586, 0.7685) x2